Entry 1:
This entry pairs a crystal structure of Nd3AlSi6Pt2 with its computed powder diffraction line list. Radiation: Cu Kα (weighted mean of Kα1 and Kα2). Structure: DFT lattice parameters and positions (PBE).
No peak broadening, texture or thermal motion is included.

Atomic structure:
```
Nd3AlSi6Pt2
1.0
5.828 0.000 0.000
-2.914 5.048 0.000
0.000 0.000 8.211
Nd Al Si Pt
3 1 6 2
Direct
0.000 0.000 0.000 Nd
0.333 0.667 0.630 Nd
0.667 0.333 0.370 Nd
0.000 0.000 0.500 Al
0.194 0.389 0.284 Si
0.194 0.806 0.284 Si
0.389 0.194 0.716 Si
0.611 0.806 0.284 Si
0.806 0.194 0.716 Si
0.806 0.611 0.716 Si
0.333 0.667 0.036 Pt
0.667 0.333 0.964 Pt
```

Peak list (12 most intense, 5 to 70 degrees two-theta, in order of falling intensity)
two_theta	d [Å]	I/Imax
30.7	2.914	100
28.0	3.185	53
37.9	2.376	51
45.5	1.995	40
10.8	8.211	35
42.0	2.150	28
32.7	2.737	24
32.6	2.746	24
52.9	1.730	22
54.5	1.683	19
63.9	1.457	18
17.6	5.048	17

=====

Entry 2:
This entry pairs a crystal structure of AlCd2In with its computed powder diffraction line list. Radiation: Cu Kα (weighted mean of Kα1 and Kα2). Structure: DFT lattice parameters and positions (PBE).
No peak broadening, texture or thermal motion is included.

Atomic structure:
```
AlCd2In
1.0
3.151 0.000 0.000
0.000 4.690 0.000
0.000 0.000 6.117
Al Cd In
1 2 1
Direct
0.000 0.000 0.000 Al
0.500 0.500 0.240 Cd
0.500 0.500 0.760 Cd
0.000 0.000 0.500 In
```

Peak list (12 most intense, 5 to 70 degrees two-theta, in order of falling intensity)
two_theta	d [Å]	I/Imax
34.3	2.616	100
35.0	2.562	93
41.1	2.195	59
57.5	1.602	42
38.4	2.345	36
23.9	3.722	19
14.5	6.117	15
66.8	1.400	14
67.3	1.392	13
18.9	4.690	11
58.6	1.576	10
31.9	2.802	9

=====

Entry 3:
This entry pairs a crystal structure of Pr4Bi2Se with its computed powder diffraction line list. Radiation: Cu Kα (weighted mean of Kα1 and Kα2). Structure: DFT lattice parameters and positions (PBE).
No peak broadening, texture or thermal motion is included.

Atomic structure:
```
Pr4Bi2Se
1.0
2.736 1.580 8.874
-2.736 1.580 8.874
0.000 -3.159 8.874
Pr Bi Se
4 2 1
Direct
0.115 0.115 0.115 Pr
0.368 0.368 0.368 Pr
0.632 0.632 0.632 Pr
0.885 0.885 0.885 Pr
0.240 0.240 0.240 Bi
0.760 0.760 0.760 Bi
0.000 0.000 0.000 Se
```

Peak list (12 most intense, 5 to 70 degrees two-theta, in order of falling intensity)
two_theta	d [Å]	I/Imax
32.7	2.736	100
32.9	2.723	81
58.5	1.578	51
19.9	4.464	30
47.1	1.930	30
62.4	1.488	19
38.6	2.330	19
45.1	2.009	18
30.2	2.962	14
68.6	1.368	12
20.0	4.437	11
51.5	1.775	8

=====

Entry 4:
This entry pairs a crystal structure of Ac6GeRh2Br2 with its computed powder diffraction line list. Radiation: Cu Kα (weighted mean of Kα1 and Kα2). Structure: DFT lattice parameters and positions (PBE).
No peak broadening, texture or thermal motion is included.

Atomic structure:
```
Ac6GeRh2Br2
1.0
3.952 -6.631 0.000
3.952 6.631 0.000
-2.427 0.000 7.687
Ac Ge Rh Br
6 1 2 2
Direct
0.084 0.426 0.789 Ac
0.212 0.212 0.207 Ac
0.426 0.084 0.789 Ac
0.574 0.916 0.211 Ac
0.788 0.788 0.793 Ac
0.916 0.574 0.211 Ac
0.500 0.500 0.000 Ge
0.170 0.830 0.000 Rh
0.830 0.170 0.000 Rh
0.342 0.658 0.500 Br
0.658 0.342 0.500 Br
```

Peak list (12 most intense, 5 to 70 degrees two-theta, in order of falling intensity)
two_theta	d [Å]	I/Imax
27.7	3.223	100
39.8	2.262	26
24.4	3.644	22
39.3	2.295	21
11.5	7.687	18
50.1	1.822	13
40.8	2.210	13
23.6	3.769	12
38.1	2.359	10
35.6	2.522	10
23.1	3.844	9
49.8	1.832	7

=====

Entry 5:
This entry pairs a crystal structure of TmSn2Pd7 with its computed powder diffraction line list. Radiation: Cu Kα (weighted mean of Kα1 and Kα2). Structure: DFT lattice parameters and positions (PBE).
No peak broadening, texture or thermal motion is included.

Atomic structure:
```
TmSn2Pd7
1.0
-2.049 2.049 11.153
2.049 -2.049 11.153
2.049 2.049 -11.153
Tm Sn Pd
1 2 7
Direct
0.000 0.000 0.000 Tm
0.330 0.330 0.000 Sn
0.670 0.670 0.000 Sn
0.092 0.592 0.500 Pd
0.250 0.750 0.500 Pd
0.408 0.908 0.500 Pd
0.500 0.500 0.000 Pd
0.592 0.092 0.500 Pd
0.750 0.250 0.500 Pd
0.908 0.408 0.500 Pd
```

Peak list (12 most intense, 5 to 70 degrees two-theta, in order of falling intensity)
two_theta	d [Å]	I/Imax
39.4	2.285	100
44.2	2.049	38
24.8	3.588	23
68.1	1.377	17
64.3	1.449	12
49.0	1.859	12
7.9	11.153	9
51.4	1.779	7
34.9	2.571	7
42.6	2.121	6
31.9	2.804	5
67.0	1.397	4

=====

Entry 6:
This entry pairs a crystal structure of Sc5Cu3 with its computed powder diffraction line list. Radiation: Cu Kα (weighted mean of Kα1 and Kα2). Structure: DFT lattice parameters and positions (PBE).
No peak broadening, texture or thermal motion is included.

Atomic structure:
```
Sc5Cu3
1.0
3.236 0.000 0.000
0.000 3.236 0.000
0.000 0.000 14.764
Sc Cu
5 3
Direct
0.000 0.000 0.000 Sc
0.000 0.000 0.222 Sc
0.000 0.000 0.778 Sc
0.500 0.500 0.389 Sc
0.500 0.500 0.611 Sc
0.000 0.000 0.500 Cu
0.500 0.500 0.111 Cu
0.500 0.500 0.889 Cu
```

Peak list (12 most intense, 5 to 70 degrees two-theta, in order of falling intensity)
two_theta	d [Å]	I/Imax
36.9	2.433	100
39.4	2.288	49
69.8	1.347	26
56.9	1.618	15
12.0	7.382	11
46.4	1.959	11
64.9	1.436	10
18.0	4.921	8
6.0	14.764	8
41.4	2.183	6
49.4	1.846	6
43.6	2.075	4

=====

Entry 7:
This entry pairs a crystal structure of HoRe2C2 with its computed powder diffraction line list. Radiation: Cu Kα (weighted mean of Kα1 and Kα2). Structure: DFT lattice parameters and positions (PBE).
No peak broadening, texture or thermal motion is included.

Atomic structure:
```
HoRe2C2
1.0
3.466 -4.364 0.000
3.466 4.364 0.000
-2.981 0.000 4.606
Ho Re C
2 4 4
Direct
0.127 0.873 0.750 Ho
0.873 0.127 0.250 Ho
0.228 0.459 0.965 Re
0.459 0.228 0.465 Re
0.541 0.772 0.535 Re
0.772 0.541 0.035 Re
0.185 0.815 0.250 C
0.422 0.578 0.750 C
0.578 0.422 0.250 C
0.815 0.185 0.750 C
```

Peak list (12 most intense, 5 to 70 degrees two-theta, in order of falling intensity)
two_theta	d [Å]	I/Imax
33.1	2.705	100
32.3	2.770	48
34.8	2.581	41
43.9	2.061	30
41.4	2.182	29
48.1	1.893	20
45.8	1.980	15
69.5	1.352	14
53.1	1.723	14
57.1	1.614	9
53.3	1.719	9
63.4	1.466	9

=====

Entry 8:
This entry pairs a crystal structure of Li2AcCd2 with its computed powder diffraction line list. Radiation: Cu Kα (weighted mean of Kα1 and Kα2). Structure: DFT lattice parameters and positions (PBE).
No peak broadening, texture or thermal motion is included.

Atomic structure:
```
Li2AcCd2
1.0
5.224 0.000 0.000
0.000 5.238 0.000
-1.353 0.000 9.325
Li Ac Cd
4 2 4
Direct
0.155 0.250 0.498 Li
0.178 0.750 0.861 Li
0.822 0.250 0.139 Li
0.845 0.750 0.502 Li
0.276 0.750 0.239 Ac
0.724 0.250 0.761 Ac
0.294 0.250 0.008 Cd
0.370 0.750 0.606 Cd
0.630 0.250 0.394 Cd
0.706 0.750 0.992 Cd
```

Peak list (12 most intense, 5 to 70 degrees two-theta, in order of falling intensity)
two_theta	d [Å]	I/Imax
32.5	2.755	100
33.5	2.673	70
34.2	2.619	61
38.8	2.320	56
24.2	3.680	50
18.4	4.825	48
29.3	3.044	45
19.4	4.567	43
31.4	2.851	40
35.8	2.506	39
25.1	3.549	36
34.7	2.585	31

=====

Entry 9:
This entry pairs a crystal structure of LaBeZn2B with its computed powder diffraction line list. Radiation: Cu Kα (weighted mean of Kα1 and Kα2). Structure: DFT lattice parameters and positions (PBE).
No peak broadening, texture or thermal motion is included.

Atomic structure:
```
LaBeZn2B
1.0
4.457 0.000 0.000
0.000 4.457 0.000
0.000 0.000 4.149
La Be Zn B
1 1 2 1
Direct
0.000 0.000 0.000 La
0.500 0.500 0.500 Be
0.000 0.500 0.500 Zn
0.500 0.000 0.500 Zn
0.500 0.500 0.000 B
```

Peak list (12 most intense, 5 to 70 degrees two-theta, in order of falling intensity)
two_theta	d [Å]	I/Imax
35.8	2.510	100
19.9	4.457	39
40.5	2.228	38
29.4	3.037	38
61.0	1.518	22
50.8	1.797	17
43.6	2.075	15
58.6	1.576	12
45.5	1.993	10
48.4	1.881	8
64.9	1.437	7
66.9	1.399	4

=====

Entry 10:
This entry pairs a crystal structure of Ga2Cu2Pt5 with its computed powder diffraction line list. Radiation: Cu Kα (weighted mean of Kα1 and Kα2). Structure: DFT lattice parameters and positions (PBE).
No peak broadening, texture or thermal motion is included.

Atomic structure:
```
Ga2Cu2Pt5
1.0
-4.242 6.925 2.413
4.242 -6.925 2.413
4.242 6.925 -2.413
Ga Cu Pt
4 4 10
Direct
0.215 0.077 0.138 Ga
0.439 0.077 0.362 Ga
0.561 0.923 0.638 Ga
0.785 0.923 0.862 Ga
0.000 0.500 0.500 Cu
0.161 0.411 0.750 Cu
0.500 0.500 0.000 Cu
0.839 0.589 0.250 Cu
0.103 0.000 0.603 Pt
0.103 0.500 0.103 Pt
0.300 0.000 0.800 Pt
0.300 0.500 0.300 Pt
0.500 0.000 0.000 Pt
0.500 0.500 0.500 Pt
0.700 0.000 0.200 Pt
0.700 0.500 0.700 Pt
0.897 0.000 0.397 Pt
0.897 0.500 0.897 Pt
```

Peak list (12 most intense, 5 to 70 degrees two-theta, in order of falling intensity)
two_theta	d [Å]	I/Imax
43.3	2.090	100
20.9	4.242	64
43.1	2.097	59
37.4	2.402	49
42.6	2.121	36
58.0	1.590	28
37.3	2.413	20
67.3	1.391	16
57.9	1.593	12
33.6	2.670	11
67.6	1.385	7
45.5	1.995	5

=====

Entry 11:
This entry pairs a crystal structure of Nb3Te2S4 with its computed powder diffraction line list. Radiation: Cu Kα (weighted mean of Kα1 and Kα2). Structure: DFT lattice parameters and positions (PBE).
No peak broadening, texture or thermal motion is included.

Atomic structure:
```
Nb3Te2S4
1.0
3.422 0.000 0.000
-1.711 2.963 0.000
0.000 0.000 21.532
Nb Te S
3 2 4
Direct
0.000 0.000 0.000 Nb
0.000 0.000 0.359 Nb
0.667 0.333 0.671 Nb
0.667 0.333 0.092 Te
0.667 0.333 0.907 Te
0.000 0.000 0.599 S
0.000 0.000 0.743 S
0.667 0.333 0.287 S
0.667 0.333 0.430 S
```

Peak list (12 most intense, 5 to 70 degrees two-theta, in order of falling intensity)
two_theta	d [Å]	I/Imax
36.8	2.441	100
12.3	7.177	87
30.2	2.963	54
53.6	1.711	35
34.6	2.596	33
45.5	1.992	30
39.4	2.285	25
8.2	10.766	22
32.7	2.739	21
16.5	5.383	20
66.8	1.401	17
30.5	2.936	14

=====

Entry 12:
This entry pairs a crystal structure of Cd7Pd with its computed powder diffraction line list. Radiation: Cu Kα (weighted mean of Kα1 and Kα2). Structure: DFT lattice parameters and positions (PBE).
No peak broadening, texture or thermal motion is included.

Atomic structure:
```
Cd7Pd
1.0
-2.138 2.138 9.058
2.138 -2.138 9.058
2.138 2.138 -9.058
Cd Pd
7 1
Direct
0.000 0.000 0.000 Cd
0.119 0.619 0.500 Cd
0.248 0.248 0.000 Cd
0.381 0.881 0.500 Cd
0.619 0.119 0.500 Cd
0.752 0.752 0.000 Cd
0.881 0.381 0.500 Cd
0.500 0.500 0.000 Pd
```

Peak list (10 most intense, 5 to 70 degrees two-theta, in order of falling intensity)
two_theta	d [Å]	I/Imax
35.7	2.514	100
42.3	2.138	32
59.5	1.554	22
39.8	2.265	18
69.6	1.351	12
61.3	1.511	10
29.6	3.019	1
9.8	9.058	1
67.8	1.382	1
52.4	1.745	1